# 1
Simulated powder diffraction line list of CaPrAl3O7 for a wavelength of 1.5418 Å, from a DFT-relaxed cell (PBE, the Materials Project).

Atomic structure:
Cell: 7.8360 7.8360 5.1839 Å, 90.00 90.00 91.08°
Sites, in units of the cell vectors:
Ca 0.1595 0.1595 0.0000
Ca 0.8405 0.8405 0.0000
Pr 0.3363 0.6637 0.9746
Pr 0.6637 0.3363 0.9746
Al 0.0000 0.5000 0.4777
Al 0.1409 0.8591 0.5250
Al 0.3541 0.3541 0.4436
Al 0.5000 0.0000 0.4777
Al 0.6459 0.6459 0.4436
Al 0.8591 0.1409 0.5250
O 0.0000 0.0000 0.6728
O 0.0922 0.6601 0.6769
O 0.1437 0.8563 0.1888
O 0.1635 0.4138 0.2844
O 0.3399 0.9078 0.6769
O 0.3616 0.3616 0.7808
O 0.4138 0.1635 0.2844
O 0.5000 0.5000 0.2976
O 0.5863 0.8365 0.2844
O 0.6384 0.6384 0.7808
O 0.6601 0.0922 0.6769
O 0.8365 0.5863 0.2844
O 0.8563 0.1437 0.1888
O 0.9078 0.3399 0.6769

Peak list (12 most intense, 2θ = 10–90°, low angle first)
2θ/deg	I/Imax
11.3	31
16.1	41
17.1	17
20.5	18
23.6	49
28.6	35
30.6	100
31.0	57
36.5	28
38.6	20
43.3	23
50.8	17


# 2
Simulated powder diffraction line list of Ca3Al2SO16 for a wavelength of 1.5418 Å, from a DFT-relaxed cell (PBE, the Materials Project).

Atomic structure:
Cell: 8.5516 8.5516 9.9453 Å, 94.16 94.16 65.03°
Sites, in units of the cell vectors:
Ca 0.0245 0.9755 0.7500
Ca 0.0290 0.4821 0.1952
Ca 0.4821 0.0290 0.6952
Ca 0.5179 0.9710 0.3048
Ca 0.9710 0.5179 0.8048
Ca 0.9755 0.0245 0.2500
Al 0.0972 0.3079 0.5011
Al 0.3079 0.0972 0.0011
Al 0.6921 0.9028 0.9989
Al 0.9028 0.6921 0.4989
S 0.3426 0.6574 0.2500
S 0.6574 0.3426 0.7500
O 0.0089 0.2707 0.3312
O 0.0759 0.1270 0.5794
O 0.1066 0.5096 0.4498
O 0.1270 0.0759 0.0794
O 0.1342 0.6942 0.8673
O 0.1394 0.3200 0.9872
O 0.1689 0.6776 0.1932
O 0.2166 0.2853 0.6747
O 0.2707 0.0089 0.8312
O 0.2853 0.2166 0.1747
O 0.3058 0.8658 0.6327
O 0.3200 0.1394 0.4872
O 0.3224 0.8311 0.3068
O 0.4136 0.5218 0.3517
O 0.4782 0.5864 0.1483
O 0.4904 0.8934 0.0502
O 0.5096 0.1066 0.9498
O 0.5218 0.4136 0.8517
O 0.5864 0.4782 0.6483
O 0.6776 0.1689 0.6932
O 0.6800 0.8606 0.5128
O 0.6942 0.1342 0.3673
O 0.7147 0.7834 0.8253
O 0.7293 0.9911 0.1688
O 0.7834 0.7147 0.3253
O 0.8311 0.3224 0.8068
O 0.8606 0.6800 0.0128
O 0.8658 0.3058 0.1327
O 0.8730 0.9241 0.9206
O 0.8934 0.4904 0.5502
O 0.9241 0.8730 0.4206
O 0.9911 0.7293 0.6688

Peak list (12 most intense, 2θ = 10–90°, low angle first)
2θ/deg	I/Imax
11.4	100
12.3	89
14.8	47
17.9	46
20.9	76
21.3	98
22.7	70
23.0	35
24.8	91
28.9	72
33.2	37
40.3	56


# 3
Simulated powder diffraction line list of CaScAlSiO6 for a wavelength of 1.5418 Å, from a DFT-relaxed cell (PBE, the Materials Project).

Atomic structure:
Cell: 5.5121 9.0839 10.0224 Å, 90.00 105.89 90.00°
Sites, in units of the cell vectors:
Ca 0.2486 0.1894 0.4969
Ca 0.2486 0.3106 0.9969
Ca 0.7514 0.6894 0.0031
Ca 0.7514 0.8106 0.5031
Sc 0.2606 0.5975 0.5023
Sc 0.2606 0.9025 0.0023
Sc 0.7394 0.0975 0.9977
Sc 0.7394 0.4025 0.4977
Al 0.4448 0.5901 0.2115
Al 0.4448 0.9099 0.7115
Al 0.5552 0.0901 0.2885
Al 0.5552 0.4099 0.7885
Si 0.0594 0.5928 0.7929
Si 0.0594 0.9072 0.2929
Si 0.9406 0.0928 0.7071
Si 0.9406 0.4072 0.2071
O 0.0168 0.0917 0.8786
O 0.0168 0.4083 0.3786
O 0.0363 0.7479 0.3633
O 0.0363 0.7521 0.8633
O 0.1336 0.5157 0.1492
O 0.1336 0.9843 0.6492
O 0.3480 0.5255 0.8550
O 0.3480 0.9745 0.3550
O 0.4649 0.0910 0.1062
O 0.4649 0.4090 0.6062
O 0.4678 0.7443 0.6292
O 0.4678 0.7557 0.1292
O 0.5322 0.2443 0.8708
O 0.5322 0.2557 0.3708
O 0.5351 0.5910 0.3938
O 0.5351 0.9090 0.8938
O 0.6520 0.0255 0.6450
O 0.6520 0.4745 0.1450
O 0.8664 0.0157 0.3508
O 0.8664 0.4843 0.8508
O 0.9637 0.2479 0.1367
O 0.9637 0.2521 0.6367
O 0.9832 0.5917 0.6214
O 0.9832 0.9083 0.1214

Peak list (12 most intense, 2θ = 10–90°, low angle first)
2θ/deg	I/Imax
29.0	100
29.5	32
29.9	17
33.8	39
34.1	27
34.6	46
41.3	18
41.7	15
43.2	24
54.0	20
63.6	19
64.4	20


# 4
Simulated powder diffraction line list of CaScAlSiO6 for a wavelength of 1.5418 Å, from a DFT-relaxed cell (PBE, the Materials Project).

Atomic structure:
Cell: 6.7716 6.7716 5.5230 Å, 101.89 101.89 84.41°
Sites, in units of the cell vectors:
Ca 0.0000 0.0000 0.0000
Ca 0.6202 0.3798 0.5000
Sc 0.2099 0.7901 0.5000
Sc 0.4055 0.5945 0.0000
Al 0.5038 0.0725 0.9803
Al 0.9275 0.4962 0.0197
Si 0.1057 0.3088 0.5164
Si 0.6912 0.8943 0.4836
O 0.1101 0.6790 0.1195
O 0.1955 0.0787 0.4258
O 0.2762 0.4816 0.6036
O 0.3210 0.8899 0.8805
O 0.4215 0.3203 0.0889
O 0.5184 0.7238 0.3964
O 0.6448 0.0616 0.7355
O 0.6797 0.5785 0.9111
O 0.6843 0.0201 0.2544
O 0.9213 0.8045 0.5742
O 0.9384 0.3552 0.2645
O 0.9799 0.3157 0.7456

Peak list (12 most intense, 2θ = 10–90°, low angle first)
2θ/deg	I/Imax
29.0	100
29.5	32
29.9	17
33.8	39
34.0	27
34.6	46
41.2	18
43.3	23
53.9	20
58.9	17
63.6	18
64.3	20


# 5
Simulated powder diffraction line list of Ca3Al4SiO12 for a wavelength of 1.5418 Å, from a DFT-relaxed cell (PBE, the Materials Project).

Atomic structure:
Cell: 5.4843 5.5136 9.7869 Å, 86.57 81.13 60.40°
Sites, in units of the cell vectors:
Ca 0.0000 0.0000 0.0000
Ca 0.1663 0.6696 0.4761
Ca 0.8309 0.3408 0.4735
Al 0.2798 0.3331 0.1748
Al 0.3890 0.3287 0.7750
Al 0.4890 0.0115 0.4726
Al 0.6075 0.6818 0.1736
Si 0.7153 0.6815 0.7745
O 0.0253 0.5948 0.8258
O 0.1873 0.0044 0.5827
O 0.2444 0.2978 0.3574
O 0.3356 0.6235 0.1262
O 0.4557 0.2882 0.5932
O 0.4617 0.9904 0.8416
O 0.5403 0.7199 0.3585
O 0.5800 0.0064 0.1098
O 0.6275 0.4368 0.8219
O 0.7534 0.7078 0.6041
O 0.8083 0.9997 0.3728
O 0.9538 0.3894 0.1242

Peak list (12 most intense, 2θ = 10–90°, low angle first)
2θ/deg	I/Imax
27.7	100
28.0	34
28.3	36
33.0	81
33.1	80
33.3	96
40.6	43
41.0	33
41.8	36
57.7	40
58.0	37
58.3	35